Entry 1:
# Tb4GeP3
Theoretical X-ray diffraction stick pattern, Cu Kα (λ = 1.5418 Å). Input: a DFT-relaxed cell (GGA-PBE, Alexandria).
Peak positions follow from Bragg's law for the DFT cell and can differ from measured ones.

Principal peaks in the range 2θ = 15–90°, sorted by position:
15.43 deg, I 2, hkl 1 0 0
21.89 deg, I 1, hkl 1 1 0
26.89 deg, I 64, hkl 1 1 1
31.15 deg, I 100, hkl 2 0 0
44.64 deg, I 74, hkl 2 2 0
52.88 deg, I 31, hkl 3 1 1
55.43 deg, I 26, hkl 2 2 2
64.97 deg, I 12, hkl 4 0 0
71.64 deg, I 13, hkl 3 3 1
73.80 deg, I 33, hkl 4 2 0
82.26 deg, I 25, hkl 4 2 2
88.48 deg, I 10, hkl 5 1 1

Atomic structure:
```
data_Tb4GeP3
_chemical_formula_sum 'Tb4 Ge1 P3'
_cell_length_a 5.742
_cell_length_b 5.742
_cell_length_c 5.742
_cell_angle_alpha 90.00
_cell_angle_beta 90.00
_cell_angle_gamma 90.00
_space_group_name_H-M_alt 'P m -3 m'
_space_group_IT_number 221
_space_group_name_Hall '-P 4 2 3'
loop_
_atom_site_label
_atom_site_type_symbol
_atom_site_fract_x
_atom_site_fract_y
_atom_site_fract_z
Tb1 Tb 0.000 0.000 0.000
Tb2 Tb 0.000 0.500 0.500
Ge1 Ge 0.500 0.500 0.500
P1 P 0.000 0.000 0.500
```



Entry 2:
# LaZrGeAsH
Theoretical X-ray diffraction stick pattern, Cu Kα (λ = 1.5418 Å). Input: a DFT-relaxed cell (GGA-PBE, Alexandria).
Peak positions follow from Bragg's law for the DFT cell and can differ from measured ones.

Principal peaks in the range 2θ = 15–90°, sorted by position:
26.52 deg, I 20, hkl 1 1 0
27.37 deg, I 22, hkl 1 1 -1
30.52 deg, I 24, hkl 2 0 -2
32.71 deg, I 100, hkl 2 0 1
37.99 deg, I 30, hkl 2 0 -3
46.30 deg, I 45, hkl 0 2 0
47.14 deg, I 9, hkl 0 0 4
47.55 deg, I 18, hkl 1 1 3
57.83 deg, I 19, hkl 2 2 1
68.21 deg, I 18, hkl 3 1 -5
75.21 deg, I 7, hkl 2 0 5
77.06 deg, I 11, hkl 5 1 0

Atomic structure:
```
data_LaZrGeAsH
_chemical_formula_sum 'La2 Zr2 Ge2 As2 H2'
_cell_length_a 6.800
_cell_length_b 3.918
_cell_length_c 8.038
_cell_angle_alpha 90.00
_cell_angle_beta 106.38
_cell_angle_gamma 90.00
_space_group_name_H-M_alt 'C 1 m 1'
_space_group_IT_number 8
loop_
_space_group_symop_operation_xyz
'x,y,z'
'x,-y,z'
'x+1/2,y+1/2,z'
'x+1/2,-y+1/2,z'
loop_
_atom_site_label
_atom_site_type_symbol
_atom_site_fract_x
_atom_site_fract_y
_atom_site_fract_z
La1 La 0.000 0.000 0.000
Zr1 Zr 0.324 0.500 0.471
Ge1 Ge 0.233 0.000 0.701
As1 As 0.425 0.000 0.276
H1 H 0.155 0.500 0.966
```



Entry 3:
# BaSr2CoH8
Theoretical X-ray diffraction stick pattern, Cu Kα (λ = 1.5418 Å). Input: a DFT-relaxed cell (GGA-PBE, Alexandria).
Peak positions follow from Bragg's law for the DFT cell and can differ from measured ones.

Principal peaks in the range 2θ = 15–90°, sorted by position:
20.30 deg, I 26, hkl 1 0 0
23.53 deg, I 89, hkl 0 1 1
31.36 deg, I 100, hkl 1 0 2
35.55 deg, I 74, hkl 1 1 0
43.10 deg, I 35, hkl 2 0 1
48.12 deg, I 31, hkl 0 2 2
51.34 deg, I 20, hkl 1 1 3
52.99 deg, I 26, hkl 0 1 4
57.03 deg, I 16, hkl 1 2 1
61.24 deg, I 29, hkl 2 1 2
65.45 deg, I 14, hkl 2 0 4
76.75 deg, I 17, hkl 1 2 4

Atomic structure:
```
data_BaSr2CoH8
_chemical_formula_sum 'Ba1 Sr2 Co1 H8'
_cell_length_a 5.0510
_cell_length_b 5.0510
_cell_length_c 7.5235
_cell_angle_alpha 90.00
_cell_angle_beta 90.00
_cell_angle_gamma 120.00
_space_group_name_H-M_alt 'P -3 m 1'
_space_group_IT_number 164
_space_group_name_Hall '-P 3 2"'
loop_
_atom_site_label
_atom_site_type_symbol
_atom_site_fract_x
_atom_site_fract_y
_atom_site_fract_z
Ba1 Ba 0.0000 0.0000 0.0000
Sr1 Sr 0.3333 0.6667 0.3571
Co1 Co 0.0000 0.0000 0.5000
H1 H 0.1478 0.2956 0.6261
H2 H 0.3333 0.6667 0.0412
```



Entry 4:
# SrSi2BOs2
Theoretical X-ray diffraction stick pattern, Cu Kα (λ = 1.5418 Å). Input: a DFT-relaxed cell (GGA-PBE, Alexandria).
Peak positions follow from Bragg's law for the DFT cell and can differ from measured ones.

Principal peaks in the range 2θ = 15–90°, sorted by position:
16.18 deg, I 60, hkl 0 0 1
30.15 deg, I 16, hkl 1 1 0
32.69 deg, I 23, hkl 0 0 2
34.40 deg, I 100, hkl 1 1 1
43.16 deg, I 35, hkl 2 0 0
45.07 deg, I 25, hkl 1 1 2
46.39 deg, I 17, hkl 2 0 1
55.18 deg, I 21, hkl 2 0 2
59.46 deg, I 19, hkl 1 1 3
62.69 deg, I 12, hkl 2 2 0
73.51 deg, I 23, hkl 3 1 1
84.51 deg, I 10, hkl 2 0 4

Atomic structure:
```
data_SrSi2BOs2
_chemical_formula_sum 'Sr1 Si2 B1 Os2'
_cell_length_a 4.192
_cell_length_b 4.192
_cell_length_c 5.478
_cell_angle_alpha 90.00
_cell_angle_beta 90.00
_cell_angle_gamma 90.00
_space_group_name_H-M_alt 'P 4/m m m'
_space_group_IT_number 123
_space_group_name_Hall '-P 4 2'
loop_
_atom_site_label
_atom_site_type_symbol
_atom_site_fract_x
_atom_site_fract_y
_atom_site_fract_z
Sr1 Sr 0.000 0.000 0.000
Si1 Si 0.500 0.500 0.231
B1 B 0.000 0.000 0.500
Os1 Os 0.000 0.500 0.500
```



Entry 5:
# Li3SmSn
Theoretical X-ray diffraction stick pattern, Cu Kα (λ = 1.5418 Å). Input: a DFT-relaxed cell (GGA-PBE, Alexandria).
Peak positions follow from Bragg's law for the DFT cell and can differ from measured ones.

Principal peaks in the range 2θ = 15–90°, sorted by position:
16.62 deg, I 100, hkl 0 1 1
20.44 deg, I 81, hkl 1 1 -2
29.13 deg, I 60, hkl 2 1 -3
33.63 deg, I 96, hkl 2 0 0
33.73 deg, I 97, hkl 2 2 -2
37.71 deg, I 36, hkl 0 3 1
39.65 deg, I 33, hkl 1 3 0
39.86 deg, I 17, hkl 3 1 -2
45.02 deg, I 19, hkl 2 1 1
48.25 deg, I 20, hkl 0 0 4
60.16 deg, I 46, hkl 2 2 2
60.39 deg, I 24, hkl 4 2 -2

Atomic structure:
```
data_Li3SmSn
_chemical_formula_sum 'Li12 Sm4 Sn4'
_cell_length_a 7.492
_cell_length_b 7.543
_cell_length_c 10.622
_cell_angle_alpha 90.00
_cell_angle_beta 134.74
_cell_angle_gamma 90.00
_space_group_name_H-M_alt 'P 1 21/c 1'
_space_group_IT_number 14
loop_
_space_group_symop_operation_xyz
'x,y,z'
'-x,-y,-z'
'-x,y+1/2,-z+1/2'
'x,-y+1/2,z+1/2'
loop_
_atom_site_label
_atom_site_type_symbol
_atom_site_fract_x
_atom_site_fract_y
_atom_site_fract_z
Li1 Li 0.051 0.119 0.383
Li2 Li 0.286 0.619 0.121
Li3 Li 0.370 0.629 0.871
Sm1 Sm 0.250 0.501 0.500
Sn1 Sn 0.233 0.233 0.733
```



Entry 6:
# Nb4Tl4O13
Theoretical X-ray diffraction stick pattern, Cu Kα (λ = 1.5418 Å). Input: a DFT-relaxed cell (GGA-PBE, Alexandria).
Peak positions follow from Bragg's law for the DFT cell and can differ from measured ones.

Principal peaks in the range 2θ = 15–90°, sorted by position:
27.41 deg, I 8, hkl 3 1 1
28.65 deg, I 100, hkl 2 2 2
33.20 deg, I 39, hkl 4 0 0
36.28 deg, I 10, hkl 3 3 1
43.57 deg, I 6, hkl 5 1 1
47.67 deg, I 42, hkl 4 4 0
56.56 deg, I 45, hkl 6 2 2
59.32 deg, I 13, hkl 4 4 4
69.70 deg, I 7, hkl 8 0 0
77.03 deg, I 18, hkl 6 6 2
79.42 deg, I 16, hkl 8 4 0
88.83 deg, I 12, hkl 8 4 4

Atomic structure:
```
data_Nb4Tl4O13
_chemical_formula_sum 'Nb16 Tl16 O52'
_cell_length_a 10.793
_cell_length_b 10.793
_cell_length_c 10.793
_cell_angle_alpha 90.00
_cell_angle_beta 90.00
_cell_angle_gamma 90.00
_space_group_name_H-M_alt 'F -4 3 m'
_space_group_IT_number 216
_space_group_name_Hall 'F -4 2 3'
loop_
_atom_site_label
_atom_site_type_symbol
_atom_site_fract_x
_atom_site_fract_y
_atom_site_fract_z
Nb1 Nb 0.125 0.125 0.125
Tl1 Tl 0.127 0.127 0.627
O1 O 0.000 0.000 0.186
O2 O 0.000 0.000 0.500
O3 O 0.064 0.250 0.250
```